For Sn8H, a cell relaxed with GGA-PBE gives the computed powder X-ray diffraction pattern in this record (Cu Kα, 1.54184 Å).
No peak broadening, texture or thermal motion is included.

Cell and atoms:
a b c (Å): 7.2934 7.2934 4.9270
angles (deg): 90.00 90.00 120.00
Space group P-3m1 (No. 164)
One atom of each set of equivalent atoms:
Sn (0.1690, 0.3380, 0.2448)
Sn (0.3333, 0.6667, 0.7378)
H (0.0000, 0.0000, 0.5000)

Main lines, most intense first (2θ from 15° to 90°):
two_theta	I_rel
33.71	100
28.26	26
50.02	22
63.47	22
61.68	18
36.47	18
83.29	17
63.89	16
46.77	14
85.26	8
70.89	4
58.45	4